1.
For Y3Pu4Se8, the PBE geometry in Alexandria gives the simulated PXRD pattern in this record (a wavelength of 1.5418 Å).
Intensities are scaled so that the largest is 100.

Main lines, in order of falling intensity (2θ from 5° to 70°):
d (Å)  intensity
2.908  100
2.054  93
2.896  49
6.700  28
3.353  27
3.504  21
1.678  20
1.675  20
2.048  18
5.809  14

Atomic structure:
```
Y3Pu4Se8
1.0
5.792 -5.820 0.000
5.792 5.820 0.000
-5.774 0.000 5.812
Y Pu Se
3 4 8
Cartesian
0.000 0.000 0.000 Y
0.009 2.910 2.906 Y
0.009 -2.910 2.906 Y
-2.887 0.000 2.906 Pu
2.896 2.910 0.000 Pu
2.896 -2.910 0.000 Pu
5.792 0.000 0.000 Pu
5.792 2.932 0.000 Se
2.874 0.000 0.031 Se
0.050 0.000 2.891 Se
2.905 2.862 2.906 Se
2.905 -2.862 2.906 Se
5.759 0.000 2.921 Se
2.936 0.000 5.781 Se
5.792 -2.932 0.000 Se
```


2.
For Pu3ZrSe4, the PBE geometry in Alexandria gives the simulated PXRD pattern in this record (a wavelength of 1.5418 Å).
Intensities are scaled so that the largest is 100.

Main lines, in order of falling intensity (2θ from 5° to 70°):
d (Å)  intensity
2.873  100
2.029  50
3.321  26
2.037  25
1.659  13
1.734  9
3.306  9
1.436  8
1.729  7
1.664  7

Atomic structure:
```
Pu3ZrSe4
1.0
7.017 0.000 0.000
0.000 8.122 0.000
-2.369 0.000 6.657
Pu Zr Se
6 2 8
Cartesian
-0.592 1.003 1.664 Pu
-1.777 3.029 4.993 Pu
-0.592 5.093 1.664 Pu
-1.777 7.119 4.993 Pu
2.916 3.025 1.664 Pu
1.732 5.097 4.993 Pu
1.732 1.056 4.993 Zr
2.916 7.066 1.664 Zr
0.601 3.009 3.357 Se
1.785 5.112 0.029 Se
1.830 0.955 0.016 Se
0.645 7.167 3.344 Se
4.003 0.955 3.313 Se
2.819 7.167 6.641 Se
2.863 3.009 6.628 Se
4.048 5.112 3.299 Se
```


3.
For Pu4ZrSe5, the PBE geometry in Alexandria gives the simulated PXRD pattern in this record (a wavelength of 1.5418 Å).
Intensities are scaled so that the largest is 100.

Main lines, in order of falling intensity (2θ from 5° to 70°):
d (Å)  intensity
2.884  100
2.039  73
3.330  37
1.665  25
1.739  18
1.442  11
16.638  5
2.258  5
1.370  4
3.166  4

Atomic structure:
```
Pu4ZrSe5
1.0
2.040 1.178 16.638
-2.040 1.178 16.638
0.000 -2.355 16.638
Pu Zr Se
4 1 5
Cartesian
0.000 0.000 5.184 Pu
0.000 0.000 14.912 Pu
0.000 0.000 35.003 Pu
0.000 0.000 44.732 Pu
0.000 0.000 24.958 Zr
0.000 0.000 0.000 Se
0.000 0.000 9.813 Se
0.000 0.000 20.090 Se
0.000 0.000 29.825 Se
0.000 0.000 40.102 Se
```


4.
For Pu4Si, the PBE geometry in Alexandria gives the simulated PXRD pattern in this record (a wavelength of 1.5418 Å).
Intensities are scaled so that the largest is 100.

Main lines, in order of falling intensity (2θ from 5° to 70°):
d (Å)  intensity
3.027  100
4.705  78
2.315  74
2.463  70
2.836  59
2.544  53
3.199  51
4.072  49
1.928  46
1.848  44

Atomic structure:
```
Pu4Si
1.0
5.758 -2.608 0.000
5.758 2.608 0.000
-2.191 0.000 6.398
Pu Si
8 2
Cartesian
1.924 0.778 1.364 Pu
4.663 2.202 3.199 Pu
2.683 0.802 3.688 Pu
5.373 0.928 1.215 Pu
0.829 -0.778 4.563 Pu
3.778 -0.802 0.489 Pu
4.277 -0.928 4.414 Pu
5.758 -2.202 0.000 Pu
7.952 0.733 2.474 Si
6.856 -0.733 5.673 Si
```